The following is a calculated powder diffractogram of TbDy2In3PdPt2. It was derived from DFT lattice parameters and positions (GGA-PBE), using λ = 1.5418 Å (Cu Kα).

Unit cell a=3.837 b=7.719 c=7.719 alpha=120.07 beta=90.00 gamma=90.00
Positions (direct):
Tb 0.000 0.000 0.000
Dy 0.000 0.410 0.820
Dy 0.000 0.820 0.410
In 0.500 0.152 0.411
In 0.500 0.411 0.152
In 0.500 0.669 0.669
Pd 0.000 0.411 0.411
Pt 0.500 0.077 0.743
Pt 0.500 0.743 0.077

Most intense lines, 2θ from 5° to 70°, low angle first:
2θ = 32.92°, I = 100; 2θ = 35.57°, I = 77; 2θ = 35.63°, I = 63; 2θ = 40.49°, I = 47; 2θ = 42.86°, I = 28; 2θ = 47.38°, I = 24; 2θ = 49.15°, I = 14; 2θ = 60.60°, I = 19; 2θ = 64.05°, I = 24; 2θ = 65.57°, I = 33